[1]
Starting from a cell relaxed with GGA-PBE, the XRD peak list of LiCuF4 was computed for a wavelength of 1.5418 Å.
Lines closer than 0.1° are merged.

Top 10 peaks for 2θ from 10° to 80°, sorted by position:
2θ 12.2, I = 413
2θ 21.6, I = 1000
2θ 24.6, I = 237
2θ 25.2, I = 348
2θ 25.9, I = 347
2θ 30.5, I = 368
2θ 31.0, I = 229
2θ 35.3, I = 248
2θ 54.0, I = 434
2θ 65.1, I = 283

```
data_LiCuF4
_chemical_formula_sum 'Li4 Cu4 F16'
_symmetry_space_group_name_H-M 'P 1 21/c 1'
_symmetry_Int_Tables_number 14
_cell_length_a 7.371
_cell_length_b 4.999
_cell_length_c 7.196
_cell_angle_alpha 90.00
_cell_angle_beta 101.15
_cell_angle_gamma 90.00
loop_
_symmetry_equiv_pos_as_xyz
'x,y,z'
'-x,-y,-z'
'-x,y+1/2,-z+1/2'
'x,-y+1/2,z+1/2'
loop_
_atom_site_label
_atom_site_type_symbol
_atom_site_fract_x
_atom_site_fract_y
_atom_site_fract_z
_atom_site_occupancy
Li1 Li 0.146 0.244 0.350 1
Cu1 Cu 0.323 0.750 0.193 1
F1 F 0.097 0.569 0.194 1
F2 F 0.192 0.061 0.101 1
F3 F 0.315 0.597 0.942 1
F4 F 0.441 0.079 0.806 1
```


[2]
Starting from a cell relaxed with GGA-PBE, the XRD peak list of Na3CaSnP3O12 was computed for a wavelength of 1.5418 Å.
Lines closer than 0.1° are merged.

Top 10 peaks for 2θ from 10° to 80°, sorted by position:
2θ 13.7, I = 1000
2θ 19.3, I = 627
2θ 19.4, I = 873
2θ 22.7, I = 477
2θ 27.5, I = 321
2θ 30.7, I = 326
2θ 30.9, I = 901
2θ 31.0, I = 401
2θ 33.7, I = 993
2θ 52.6, I = 379

```
data_Na3CaSnP3O12
_chemical_formula_sum 'Na12 Ca4 Sn4 P12 O48'
_symmetry_space_group_name_H-M 'C 1 c 1'
_symmetry_Int_Tables_number 9
_cell_length_a 15.814
_cell_length_b 9.212
_cell_length_c 9.105
_cell_angle_alpha 90.00
_cell_angle_beta 124.62
_cell_angle_gamma 90.00
loop_
_symmetry_equiv_pos_as_xyz
'x,y,z'
'x,-y,z+1/2'
'x+1/2,y+1/2,z'
'x+1/2,-y+1/2,z+1/2'
loop_
_atom_site_label
_atom_site_type_symbol
_atom_site_fract_x
_atom_site_fract_y
_atom_site_fract_z
_atom_site_occupancy
Na1 Na 0.000 0.060 0.000 1
Na2 Na 0.175 0.387 0.807 1
Na3 Na 0.423 0.222 0.050 1
Ca1 Ca 0.074 0.252 0.425 1
Sn1 Sn 0.283 0.243 0.220 1
P1 P 0.031 0.380 0.014 1
P2 P 0.185 0.046 0.841 1
P3 P 0.323 0.414 0.617 1
O1 O 0.024 0.455 0.510 1
O2 O 0.027 0.317 0.163 1
O3 O 0.114 0.151 0.687 1
O4 O 0.121 0.037 0.387 1
O5 O 0.132 0.326 0.033 1
O6 O 0.224 0.370 0.591 1
O7 O 0.245 0.055 0.289 1
O8 O 0.271 0.139 0.004 1
O9 O 0.327 0.371 0.450 1
O10 O 0.327 0.413 0.112 1
O11 O 0.416 0.361 0.796 1
O12 O 0.441 0.194 0.334 1
```


[3]
Starting from a cell relaxed with GGA-PBE, the XRD peak list of RbLiMg14O15 was computed for a wavelength of 1.5418 Å.
Lines closer than 0.1° are merged.

Top 10 peaks for 2θ from 10° to 80°, sorted by position:
2θ 10.7, I = 252
2θ 24.0, I = 125
2θ 25.6, I = 123
2θ 35.4, I = 901
2θ 40.2, I = 130
2θ 43.3, I = 130
2θ 43.7, I = 1000
2θ 57.5, I = 316
2θ 63.6, I = 264
2θ 75.0, I = 193

```
data_RbLiMg14O15
_chemical_formula_sum 'Rb1 Li1 Mg14 O15'
_symmetry_space_group_name_H-M 'P m m 2'
_symmetry_Int_Tables_number 25
_cell_length_a 4.136
_cell_length_b 8.290
_cell_length_c 10.121
_cell_angle_alpha 90.00
_cell_angle_beta 90.00
_cell_angle_gamma 90.00
loop_
_symmetry_equiv_pos_as_xyz
'x,y,z'
'-x,-y,z'
'-x,y,z'
'x,-y,z'
loop_
_atom_site_label
_atom_site_type_symbol
_atom_site_fract_x
_atom_site_fract_y
_atom_site_fract_z
_atom_site_occupancy
Rb1 Rb 0.000 0.000 0.000 1
Li1 Li 0.000 0.500 0.973 1
Mg1 Mg 0.000 0.000 0.455 1
Mg2 Mg 0.000 0.231 0.701 1
Mg3 Mg 0.000 0.248 0.226 1
Mg4 Mg 0.000 0.500 0.403 1
Mg5 Mg 0.500 0.000 0.249 1
Mg6 Mg 0.500 0.000 0.680 1
Mg7 Mg 0.500 0.249 0.941 1
Mg8 Mg 0.500 0.270 0.472 1
Mg9 Mg 0.500 0.500 0.171 1
Mg10 Mg 0.500 0.500 0.771 1
O1 O 0.000 0.000 0.256 1
O2 O 0.000 0.000 0.654 1
O3 O 0.000 0.262 0.442 1
O4 O 0.000 0.294 0.884 1
O5 O 0.000 0.500 0.200 1
O6 O 0.500 0.000 0.457 1
O7 O 0.500 0.000 0.872 1
O8 O 0.500 0.230 0.167 1
O9 O 0.500 0.288 0.672 1
O10 O 0.500 0.500 0.402 1
O11 O 0.500 0.500 0.967 1
```